No. 1
Structure and calculated powder diffraction line list of Ba2NpVN5 (a cell relaxed with GGA-PBE; Cu Kα X-rays).
Kinematic intensities with the Lorentz-polarization factor, no thermal factor.

Structure:
```
Ba2NpVN5
1.0
1.7980 -7.5541 0.0000
1.7980 7.5541 0.0000
0.0000 0.0000 11.6610
Ba Np V N
4 2 2 10
Cartesian
1.7980 5.9235 5.8305
1.7980 5.4679 1.7507
1.7980 -5.4679 7.5812
1.7980 -5.9235 0.0000
1.7980 4.5296 9.9571
1.7980 -4.5296 4.1266
1.7980 0.7974 3.0171
1.7980 -0.7974 8.8476
1.7980 6.7637 9.6489
1.7980 3.1520 5.3855
1.7980 2.6192 2.7014
1.7980 2.5944 9.7122
1.7980 0.0092 1.5224
1.7980 -0.0092 7.3529
1.7980 -2.5944 3.8817
1.7980 -2.6192 8.5319
1.7980 -3.1520 11.2160
1.7980 -6.7637 3.8184
```

The 10 most intense peaks (2θ = 10–90°), by angle:
d = 7.554 Å, 2θ 11.7, I = 35.4; d = 4.616 Å, 2θ 19.2, I = 37.6; d = 3.593 Å, 2θ 24.8, I = 33.3; d = 3.456 Å, 2θ 25.8, I = 84.4; d = 2.927 Å, 2θ 30.5, I = 49.9; d = 2.839 Å, 2θ 31.5, I = 43.4; d = 2.600 Å, 2θ 34.5, I = 100.0; d = 2.461 Å, 2θ 36.5, I = 36.1; d = 2.150 Å, 2θ 42.0, I = 35.0; d = 1.797 Å, 2θ 50.8, I = 29.2

No. 2
Structure and calculated powder diffraction line list of Ba6NO2 (a cell relaxed with GGA-PBE; Cu Kα X-rays).
Kinematic intensities with the Lorentz-polarization factor, no thermal factor.

Structure:
```
Ba6NO2
1.0
-3.6970 7.6519 6.9345
3.6970 -7.6519 6.9345
3.6970 7.6519 -6.9345
Ba N O
12 2 4
Cartesian
5.8094 -1.5474 2.1804
5.5572 2.6807 0.0000
1.5847 -1.5474 4.7542
1.5847 1.5474 2.1804
1.8602 4.9712 0.0000
2.1123 9.1993 -2.1804
1.5847 -1.5474 9.1149
1.8368 2.6807 6.9345
2.1123 6.1046 4.7542
2.1123 9.1993 2.1804
-1.8602 4.9712 6.9345
-2.1123 9.1993 4.7542
0.0000 0.0000 3.4673
0.0000 0.0000 10.4018
0.6860 2.6892 0.0000
4.3830 4.9627 0.0000
-0.6860 2.6892 6.9345
3.0110 4.9627 6.9345
```

The 10 most intense peaks (2θ = 10–90°), by angle:
d = 5.138 Å, 2θ 17.3, I = 17.5; d = 3.826 Å, 2θ 23.2, I = 17.4; d = 3.697 Å, 2θ 24.1, I = 30.8; d = 3.489 Å, 2θ 25.5, I = 100.0; d = 3.300 Å, 2θ 27.0, I = 28.2; d = 2.659 Å, 2θ 33.7, I = 11.9; d = 2.312 Å, 2θ 39.0, I = 10.4; d = 2.092 Å, 2θ 43.2, I = 19.9; d = 2.055 Å, 2θ 44.1, I = 8.0; d = 1.960 Å, 2θ 46.3, I = 10.4

No. 3
Structure and calculated powder diffraction line list of Ba3P6N8O6 (a cell relaxed with GGA-PBE; Cu Kα X-rays).
Kinematic intensities with the Lorentz-polarization factor, no thermal factor.

Structure:
```
Ba3P6N8O6
1.0
7.4777 0.0000 0.0000
-3.7388 6.4759 0.0000
0.0000 0.0000 6.4312
Ba P N O
3 6 8 6
Cartesian
0.0000 0.0000 0.0000
0.0000 4.3172 5.6835
3.7388 2.1586 0.7477
-0.1730 2.5938 2.5602
-1.4061 5.3288 2.5602
2.1598 1.4467 3.8711
1.5791 5.0291 2.5602
5.1449 1.1471 3.8711
3.9118 3.8821 3.8711
-1.0589 2.1302 3.8331
-1.3646 6.3278 3.8331
1.3154 1.9821 2.5981
0.0000 4.3172 2.7626
3.7388 2.1586 3.6686
2.4234 4.4937 3.8331
5.1034 0.1481 2.5981
4.7977 4.3456 2.5981
-0.7778 2.3854 1.1564
-1.2841 5.9568 1.1564
1.6769 1.8663 5.2749
2.0619 4.6095 1.1564
5.0229 0.5191 5.2749
4.5167 4.0904 5.2749
```

The 10 most intense peaks (2θ = 10–90°), by angle:
d = 3.739 Å, 2θ 23.8, I = 47.5; d = 3.233 Å, 2θ 27.6, I = 100.0; d = 2.892 Å, 2θ 30.9, I = 43.4; d = 2.880 Å, 2θ 31.1, I = 56.2; d = 2.159 Å, 2θ 41.8, I = 26.8; d = 2.046 Å, 2θ 44.3, I = 23.2; d = 1.948 Å, 2θ 46.6, I = 27.2; d = 1.869 Å, 2θ 48.7, I = 16.3; d = 1.613 Å, 2θ 57.1, I = 15.8; d = 1.349 Å, 2θ 69.7, I = 16.6

No. 4
Structure and calculated powder diffraction line list of BaSbNO2 (a cell relaxed with GGA-PBE; Cu Kα X-rays).
Kinematic intensities with the Lorentz-polarization factor, no thermal factor.

Structure:
```
BaSbNO2
1.0
4.2304 0.0000 0.0000
0.0000 4.2304 0.0000
0.0000 0.0000 4.0826
Ba Sb N O
1 1 1 2
Cartesian
0.0000 0.0000 0.0000
2.1152 2.1152 2.0413
2.1152 2.1152 0.0000
0.0000 2.1152 2.0413
2.1152 0.0000 2.0413
```

The 10 most intense peaks (2θ = 10–90°), by angle:
d = 2.991 Å, 2θ 29.9, I = 49.8; d = 2.938 Å, 2θ 30.4, I = 100.0; d = 2.115 Å, 2θ 42.7, I = 30.2; d = 2.041 Å, 2θ 44.4, I = 13.5; d = 1.717 Å, 2θ 53.4, I = 41.4; d = 1.686 Å, 2θ 54.4, I = 18.6; d = 1.469 Å, 2θ 63.3, I = 17.7; d = 1.128 Å, 2θ 86.3, I = 11.0; d = 1.119 Å, 2θ 87.1, I = 10.4; d = 1.105 Å, 2θ 88.5, I = 10.5

No. 5
Structure and calculated powder diffraction line list of Ba3Si6N2O12 (a cell relaxed with GGA-PBE; Cu Kα X-rays).
Kinematic intensities with the Lorentz-polarization factor, no thermal factor.

Structure:
```
Ba3Si6N2O12
1.0
7.5996 0.0000 0.0000
-3.7998 6.5814 0.0000
0.0000 0.0000 6.5938
Ba Si N O
3 6 2 12
Cartesian
0.0000 0.0000 0.0000
0.0000 4.3876 0.6716
3.7998 2.1938 5.9222
-0.2421 2.6831 4.0206
-1.3551 5.4496 4.0206
2.2026 1.5512 2.5732
1.5972 5.0302 4.0206
5.1549 1.1319 2.5732
4.0419 3.8983 2.5732
0.0000 4.3876 3.7088
3.7998 2.1938 2.8850
-1.0964 2.0956 2.7161
-0.8812 2.3807 5.4596
-1.2975 6.1542 5.4596
-1.4367 6.4831 2.7161
1.2667 1.9973 3.8777
1.6211 1.9535 1.1342
2.1786 4.6280 5.4596
2.5331 4.5841 2.7161
5.2365 0.0983 3.8777
5.0973 0.4272 1.1342
4.6810 4.2007 1.1342
4.8962 4.4858 3.8777
```

The 10 most intense peaks (2θ = 10–90°), by angle:
d = 3.800 Å, 2θ 23.4, I = 39.7; d = 3.293 Å, 2θ 27.1, I = 100.0; d = 2.946 Å, 2θ 30.3, I = 75.7; d = 2.490 Å, 2θ 36.1, I = 24.1; d = 2.194 Å, 2θ 41.1, I = 27.6; d = 2.083 Å, 2θ 43.5, I = 28.9; d = 1.986 Å, 2θ 45.7, I = 19.5; d = 1.827 Å, 2θ 49.9, I = 31.1; d = 1.647 Å, 2θ 55.8, I = 22.6; d = 1.404 Å, 2θ 66.6, I = 19.8

No. 6
Structure and calculated powder diffraction line list of BaSi2N2O2 (a cell relaxed with GGA-PBE; Cu Kα X-rays).
Kinematic intensities with the Lorentz-polarization factor, no thermal factor.

Structure:
```
BaSi2N2O2
1.0
7.2830 -2.6999 0.0000
7.2830 2.6999 0.0000
0.0000 0.0000 4.8783
Ba Si N O
2 4 4 4
Cartesian
7.2830 1.3712 2.4391
7.2830 -1.3712 0.0000
4.3664 0.8666 0.2453
4.3664 -0.8666 2.6844
10.1996 0.8666 0.2453
10.1996 -0.8666 2.6844
4.0486 0.7070 1.9678
4.0486 -0.7070 4.4069
10.5174 0.7070 1.9678
10.5174 -0.7070 4.4069
5.9263 1.2630 4.8700
8.6396 1.2630 4.8700
5.9263 -1.2630 2.4309
8.6396 -1.2630 2.4309
```

The 10 most intense peaks (2θ = 10–90°), by angle:
d = 7.283 Å, 2θ 12.2, I = 32.3; d = 3.641 Å, 2θ 24.4, I = 35.2; d = 3.513 Å, 2θ 25.4, I = 47.7; d = 2.902 Å, 2θ 30.8, I = 100.0; d = 2.700 Å, 2θ 33.2, I = 26.7; d = 2.532 Å, 2θ 35.5, I = 18.1; d = 2.439 Å, 2θ 36.9, I = 26.4; d = 2.270 Å, 2θ 39.7, I = 30.4; d = 1.810 Å, 2θ 50.4, I = 14.3; d = 1.804 Å, 2θ 50.6, I = 31.4